# Ce2Sn3Rh4
Theoretical powder diffraction line list, Cu Kα, 1.54184 Å. Input: the PBE geometry in Alexandria.
Kinematic intensities with the Lorentz-polarization factor, no thermal factor.

Structure:
Unit cell a=8.9497 b=8.9497 c=7.1124 alpha=90.00 beta=90.00 gamma=140.16
Fractional positions:
Ce1 0.1029 0.8971 0.9225
Ce2 0.3971 0.6029 0.4225
Ce3 0.6029 0.3971 0.5775
Ce4 0.8971 0.1029 0.0775
Sn1 0.0000 0.0000 0.5000
Sn2 0.0135 0.4865 0.7500
Sn3 0.4865 0.0135 0.2500
Sn4 0.5000 0.5000 0.0000
Sn5 0.5135 0.9865 0.7500
Sn6 0.9865 0.5135 0.2500
Rh1 0.1647 0.8353 0.5345
Rh2 0.1739 0.3261 0.7500
Rh3 0.3261 0.1739 0.2500
Rh4 0.3353 0.6647 0.0345
Rh5 0.6647 0.3353 0.9655
Rh6 0.6739 0.8261 0.7500
Rh7 0.8261 0.6739 0.2500
Rh8 0.8353 0.1647 0.4655

Peak list (8 most intense, 10° ≤ 2θ ≤ 90°, by angle)
2θ/deg  Rel. int.
32.91  91
33.71  50
36.39  21
38.91  100
39.49  39
40.98  38
43.86  27
69.81  24